# 1
This entry pairs a crystal structure of Tl6SnBi with its computed powder diffraction line list. Radiation: CuKα. Structure: a structure optimized by DFT (GGA-PBE).

Most intense lines, 5° ≤ 2θ ≤ 70°, sorted by position:
two_theta	d [Å]	I (rel.)
8.87	9.967	1.1
17.84	4.971	0.6
19.98	4.444	0.9
26.90	3.314	0.7
31.16	2.870	100.0
36.04	2.492	17.1
36.18	2.483	33.8
52.00	1.759	24.5
52.10	1.756	12.2
61.78	1.502	14.7
61.96	1.498	29.2
64.98	1.435	12.7

Cell and atoms:
```
8
Lattice="4.9653 0.0000 0.0000 0.0000 4.9653 0.0000 0.0000 0.0000 9.9670" Properties=species:S:1:pos:R:3 pbc="T T T"
Tl 0.0000 0.0000 0.0000
Tl 0.0000 0.0000 4.9835
Tl 0.0000 2.4827 2.4808
Tl 0.0000 2.4827 7.4861
Tl 2.4827 0.0000 2.4808
Tl 2.4827 0.0000 7.4861
Sn 2.4827 2.4827 0.0000
Bi 2.4827 2.4827 4.9835
```



# 2
This entry pairs a crystal structure of Si23As with its computed powder diffraction line list. Radiation: CuKα. Structure: a structure optimized by DFT (GGA-PBE).

Most intense lines, 5° ≤ 2θ ≤ 70°, sorted by position:
two_theta	d [Å]	I (rel.)
12.26	7.220	63.1
19.44	4.567	48.4
31.59	2.832	11.4
32.82	2.729	100.0
36.27	2.477	16.4
37.36	2.407	23.7
40.48	2.228	14.9
47.98	1.896	11.5
52.24	1.751	20.8
53.06	1.726	13.7
53.87	1.702	20.5
55.47	1.656	42.9

Cell and atoms:
```
48
Lattice="10.2112 0.0000 0.0000 0.0000 10.2112 0.0000 0.0000 0.0000 10.2112" Properties=species:S:1:pos:R:3 pbc="T T T"
Si 0.0000 1.1918 3.1513
Si 0.0000 1.1918 7.0599
Si 0.0000 2.5528 5.1056
Si 0.0000 7.6584 5.1056
Si 0.0000 9.0195 3.1513
Si 0.0000 9.0195 7.0599
Si 1.1918 3.1513 0.0000
Si 1.1918 7.0599 0.0000
Si 1.8616 1.8616 1.8616
Si 1.8616 1.8616 8.3496
Si 1.8616 8.3496 1.8616
Si 1.8616 8.3496 8.3496
Si 1.9543 3.9138 5.1056
Si 1.9543 6.2974 5.1056
Si 2.5528 5.1056 0.0000
Si 3.1513 0.0000 1.1918
Si 3.1513 0.0000 9.0195
Si 3.2440 3.2440 3.2440
Si 3.2440 3.2440 6.9672
Si 3.2440 6.9672 3.2440
Si 3.2440 6.9672 6.9672
Si 3.9138 5.1056 1.9543
Si 3.9138 5.1056 8.2570
Si 5.1056 0.0000 2.5528
Si 5.1056 0.0000 7.6584
Si 5.1056 1.9543 3.9138
Si 5.1056 1.9543 6.2974
Si 5.1056 8.2570 3.9138
Si 5.1056 8.2570 6.2974
Si 6.2974 5.1056 1.9543
Si 6.2974 5.1056 8.2570
Si 6.9672 3.2440 3.2440
Si 6.9672 3.2440 6.9672
Si 6.9672 6.9672 3.2440
Si 6.9672 6.9672 6.9672
Si 7.0599 0.0000 1.1918
Si 7.0599 0.0000 9.0195
Si 7.6584 5.1056 0.0000
Si 8.2570 3.9138 5.1056
Si 8.2570 6.2974 5.1056
Si 8.3496 1.8616 1.8616
Si 8.3496 1.8616 8.3496
Si 8.3496 8.3496 1.8616
Si 8.3496 8.3496 8.3496
Si 9.0195 3.1513 0.0000
Si 9.0195 7.0599 0.0000
As 0.0000 0.0000 0.0000
As 5.1056 5.1056 5.1056
```



# 3
This entry pairs a crystal structure of InCuAg6 with its computed powder diffraction line list. Radiation: CuKα. Structure: a structure optimized by DFT (GGA-PBE).

Most intense lines, 5° ≤ 2θ ≤ 70°, sorted by position:
two_theta	d [Å]	I (rel.)
23.01	3.865	8.5
27.20	3.278	48.3
28.16	3.168	41.1
36.68	2.450	72.9
39.03	2.308	28.6
40.08	2.250	100.0
45.79	1.982	9.4
47.03	1.932	13.3
48.22	1.887	7.9
49.41	1.845	29.6
51.85	1.763	21.1
58.24	1.584	8.6

Cell and atoms:
```
8
Lattice="3.8647 2.2313 3.2784 -3.8647 2.2313 3.2784 0.0000 -4.4626 3.2784" Properties=species:S:1:pos:R:3 pbc="T T T"
In 0.0000 0.0000 0.0000
Cu 0.0000 0.0000 4.9175
Ag 0.0000 -1.6362 2.9059
Ag -1.4170 0.8181 2.9059
Ag -1.4170 -0.8181 6.9292
Ag 1.4169 0.8181 2.9059
Ag 1.4169 -0.8181 6.9292
Ag 0.0000 1.6361 6.9292
```



# 4
This entry pairs a crystal structure of Ba6TeN3 with its computed powder diffraction line list. Radiation: CuKα. Structure: a structure optimized by DFT (GGA-PBE).

Most intense lines, 5° ≤ 2θ ≤ 70°, sorted by position:
two_theta	d [Å]	I (rel.)
11.36	7.792	47.3
22.83	3.896	44.7
25.86	3.446	47.8
25.98	3.430	70.5
26.17	3.405	39.2
26.94	3.309	32.8
28.05	3.181	35.5
28.57	3.124	100.0
30.24	2.956	63.5
31.12	2.874	32.0
34.53	2.597	49.1
42.65	2.120	42.3

Cell and atoms:
```
20
Lattice="11.9249 0.0000 0.0000 0.0000 4.2404 0.0000 -4.1369 0.0000 13.8626" Properties=species:S:1:pos:R:3 pbc="T T T"
Ba -0.8306 1.0601 3.9107
Ba -0.6892 1.0601 7.7322
Ba 1.7789 3.1803 1.5124
Ba 1.9328 3.1803 5.4123
Ba 0.5906 3.1803 12.8822
Ba 4.4991 1.0601 3.1624
Ba 3.2890 3.1803 10.7002
Ba 7.1975 1.0601 0.9804
Ba 5.8553 1.0601 8.4503
Ba 6.0092 1.0601 12.3503
Ba 8.4773 3.1803 6.1304
Ba 8.6187 3.1803 9.9519
Te -2.2138 1.0601 12.5117
Te 10.0019 3.1803 1.3509
N -0.7365 3.1803 5.9731
N 1.7903 1.0601 3.5948
N 4.8213 3.1803 1.5442
N 2.9668 1.0601 12.3185
N 5.9978 3.1803 10.2679
N 8.5246 1.0601 7.8895
```



# 5
This entry pairs a crystal structure of AlRh4 with its computed powder diffraction line list. Radiation: CuKα. Structure: a structure optimized by DFT (GGA-PBE).

Most intense lines, 5° ≤ 2θ ≤ 70°, sorted by position:
two_theta	d [Å]	I (rel.)
20.78	4.275	8.9
27.43	3.251	7.7
29.55	3.023	3.9
40.76	2.214	100.0
47.14	1.928	15.7
47.57	1.912	31.3
51.15	1.786	1.3
52.03	1.758	1.5
56.62	1.626	1.2
60.18	1.538	2.0
69.21	1.358	19.9
69.54	1.352	9.8

Cell and atoms:
```
10
Lattice="6.0453 0.0000 0.0000 0.0000 6.0453 0.0000 0.0000 0.0000 3.8562" Properties=species:S:1:pos:R:3 pbc="T T T"
Al 0.0000 0.0000 0.0000
Al 3.0226 3.0226 1.9281
Rh 0.6209 1.8236 1.9281
Rh 1.1990 3.6435 0.0000
Rh 1.8236 5.4244 1.9281
Rh 2.4017 1.1990 0.0000
Rh 3.6435 4.8463 0.0000
Rh 4.2216 0.6209 1.9281
Rh 4.8463 2.4017 0.0000
Rh 5.4244 4.2216 1.9281
```



# 6
This entry pairs a crystal structure of KSe5 with its computed powder diffraction line list. Radiation: CuKα. Structure: a structure optimized by DFT (GGA-PBE).

Most intense lines, 5° ≤ 2θ ≤ 70°, sorted by position:
two_theta	d [Å]	I (rel.)
12.58	7.035	15.9
14.27	6.207	28.8
18.45	4.810	21.1
23.88	3.727	26.5
25.32	3.518	37.8
26.63	3.348	27.0
27.30	3.267	37.9
29.84	2.994	100.0
38.38	2.345	22.1
41.47	2.177	18.2
41.79	2.162	33.1
43.74	2.069	17.2

Cell and atoms:
```
12
Lattice="4.1281 0.0000 0.0000 0.0000 13.1830 0.0000 -0.9484 0.0000 7.0351" Properties=species:S:1:pos:R:3 pbc="T T T"
K 0.4971 3.2958 3.2019
K 2.6826 9.8873 3.8332
Se 0.8151 7.9157 0.3962
Se 0.8151 11.8588 0.3962
Se 0.6461 7.2515 2.6829
Se 0.6461 12.5230 2.6829
Se 0.9634 3.2958 6.7446
Se 2.2164 9.8873 0.2905
Se 2.5337 0.6600 4.3522
Se 2.5337 5.9315 4.3522
Se 2.3647 1.3242 6.6389
Se 2.3647 5.2673 6.6389
```



# 7
This entry pairs a crystal structure of La2Sm3Zn3 with its computed powder diffraction line list. Radiation: CuKα. Structure: a structure optimized by DFT (GGA-PBE).

Most intense lines, 5° ≤ 2θ ≤ 70°, sorted by position:
two_theta	d [Å]	I (rel.)
24.17	3.682	8.3
26.15	3.408	19.8
31.94	2.802	17.7
33.52	2.673	100.0
34.18	2.623	27.5
43.69	2.072	7.8
47.48	1.915	11.6
48.79	1.866	10.1
56.17	1.637	8.8
60.78	1.524	17.8
60.92	1.521	10.2
65.93	1.417	9.9

Cell and atoms:
```
16
Lattice="3.7328 0.0000 0.0000 0.0000 5.2459 0.0000 0.0000 0.0000 22.4163" Properties=species:S:1:pos:R:3 pbc="T T T"
La 0.0000 0.0000 5.0824
La 0.0000 0.0000 17.3339
La 1.8664 2.6230 6.1257
La 1.8664 2.6230 16.2906
Sm 0.0000 0.0000 0.0000
Sm 0.0000 2.6230 2.5426
Sm 0.0000 2.6230 19.8737
Sm 1.8664 0.0000 8.6656
Sm 1.8664 0.0000 13.7508
Sm 1.8664 2.6230 11.2082
Zn 0.0000 0.0000 11.2082
Zn 0.0000 2.6230 8.7284
Zn 0.0000 2.6230 13.6879
Zn 1.8664 0.0000 2.4798
Zn 1.8664 0.0000 19.9366
Zn 1.8664 2.6230 0.0000
```



# 8
This entry pairs a crystal structure of PmThO4 with its computed powder diffraction line list. Radiation: CuKα. Structure: a structure optimized by DFT (GGA-PBE).

Most intense lines, 5° ≤ 2θ ≤ 70°, sorted by position:
two_theta	d [Å]	I (rel.)
15.70	5.643	3.9
22.45	3.960	3.3
27.52	3.241	100.0
31.71	2.821	11.5
31.96	2.800	22.6
45.65	1.987	34.9
45.83	1.980	17.3
53.97	1.699	15.9
54.30	1.690	31.2
56.81	1.621	10.0
66.25	1.411	2.8
66.83	1.400	5.4

Cell and atoms:
```
6
Lattice="3.9596 0.0000 0.0000 0.0000 3.9596 0.0000 0.0000 0.0000 5.6430" Properties=species:S:1:pos:R:3 pbc="T T T"
Pm 0.0000 0.0000 0.0000
Th 1.9798 1.9798 2.8215
O 0.0000 1.9798 1.4409
O 0.0000 1.9798 4.2020
O 1.9798 0.0000 1.4409
O 1.9798 0.0000 4.2020
```



# 9
This entry pairs a crystal structure of DyPaCd6 with its computed powder diffraction line list. Radiation: CuKα. Structure: a structure optimized by DFT (GGA-PBE).

Most intense lines, 5° ≤ 2θ ≤ 70°, sorted by position:
two_theta	d [Å]	I (rel.)
25.00	3.562	100.0
25.27	3.525	13.5
29.71	3.007	54.6
31.02	2.883	71.0
40.07	2.250	39.1
40.42	2.231	39.9
43.87	2.064	25.9
47.14	1.928	15.5
47.30	1.922	19.6
51.88	1.762	19.5
54.98	1.670	26.3
67.02	1.396	14.8

Cell and atoms:
```
8
Lattice="3.5246 2.0349 5.8472 -3.5246 2.0349 5.8472 0.0000 -4.0698 5.8472" Properties=species:S:1:pos:R:3 pbc="T T T"
Dy 0.0000 0.0000 0.0000
Pa 0.0000 0.0000 8.7708
Cd 0.0000 -1.6350 4.2530
Cd -1.4159 0.8175 4.2530
Cd -1.4159 -0.8175 13.2887
Cd 1.4159 0.8175 4.2530
Cd 1.4159 -0.8175 13.2887
Cd 0.0000 1.6350 13.2887
```



# 10
This entry pairs a crystal structure of AgPd6Pb2 with its computed powder diffraction line list. Radiation: CuKα. Structure: a structure optimized by DFT (GGA-PBE).

Most intense lines, 5° ≤ 2θ ≤ 70°, sorted by position:
two_theta	d [Å]	I (rel.)
20.90	4.249	4.7
23.96	3.714	5.9
24.45	3.641	3.3
24.71	3.603	6.2
25.90	3.441	3.6
37.89	2.374	100.0
39.52	2.280	87.5
39.61	2.275	88.3
54.67	1.679	34.2
59.65	1.550	12.9
69.43	1.354	15.9
69.60	1.351	49.4

Cell and atoms:
```
9
Lattice="3.9001 -2.3730 0.0000 3.9001 2.3730 0.0000 -0.6370 0.0000 8.4989" Properties=species:S:1:pos:R:3 pbc="T T T"
Ag 0.0000 0.0000 0.0000
Pd -0.2000 0.0000 2.8343
Pd 2.2154 0.0000 4.7010
Pd 2.0217 0.0000 7.5865
Pd 5.1415 0.0000 0.9124
Pd 4.9478 0.0000 3.7979
Pd 7.3631 0.0000 5.6646
Pb 2.4912 0.0000 1.9778
Pb 4.6719 0.0000 6.5211
```



# 11
This entry pairs a crystal structure of Rb3CuOs2O9 with its computed powder diffraction line list. Radiation: CuKα. Structure: a structure optimized by DFT (GGA-PBE).

Most intense lines, 5° ≤ 2θ ≤ 70°, sorted by position:
two_theta	d [Å]	I (rel.)
12.34	7.175	9.9
17.88	4.960	12.8
21.78	4.080	38.7
30.76	2.907	100.0
31.23	2.864	91.3
44.41	2.040	57.1
50.31	1.814	7.5
54.39	1.687	19.3
55.29	1.662	38.8
55.59	1.653	18.1
64.07	1.453	17.4
65.15	1.432	17.0

Cell and atoms:
```
15
Lattice="5.7272 0.0000 0.0000 -2.8636 4.9599 0.0000 0.0000 0.0000 7.1751" Properties=species:S:1:pos:R:3 pbc="T T T"
Rb 0.0000 0.0000 0.0000
Rb 0.0000 3.3066 4.7138
Rb 2.8636 1.6533 2.4614
Cu 0.0000 0.0000 3.5876
Os 0.0000 3.3066 1.1909
Os 2.8636 1.6533 5.9843
O -1.4318 2.4800 0.0000
O 0.0000 1.7590 2.1914
O -1.3403 4.0804 2.1914
O 1.5233 0.8795 4.9838
O 2.8636 0.0000 0.0000
O 1.4318 2.4800 0.0000
O 1.3403 4.0804 2.1914
O 4.2039 0.8795 4.9838
O 2.8636 3.2010 4.9838
```



# 12
This entry pairs a crystal structure of KSb4Pb6 with its computed powder diffraction line list. Radiation: CuKα. Structure: a structure optimized by DFT (GGA-PBE).

Most intense lines, 5° ≤ 2θ ≤ 70°, sorted by position:
two_theta	d [Å]	I (rel.)
21.12	4.207	43.3
21.52	4.129	24.8
24.91	3.574	35.2
27.59	3.233	83.0
28.53	3.128	33.7
29.42	3.036	26.2
34.42	2.605	55.0
34.53	2.597	54.6
35.51	2.528	100.0
39.87	2.261	22.0
49.35	1.847	16.6
51.10	1.787	30.0

Cell and atoms:
```
11
Lattice="5.0548 -5.0548 0.0000 5.0548 5.0548 0.0000 -5.0217 0.0000 7.5868" Properties=species:S:1:pos:R:3 pbc="T T T"
K 0.0000 0.0000 0.0000
Sb -2.3913 0.0000 5.4524
Sb 5.0642 2.4123 2.1287
Sb 2.4357 0.0000 5.4667
Sb 5.0642 -2.4123 2.1287
Pb 2.5338 2.5248 0.0033
Pb 0.0251 1.9926 5.1235
Pb 3.0694 0.0000 2.4700
Pb 2.5338 -2.5248 0.0033
Pb 0.0251 -1.9926 5.1235
Pb 7.0628 0.0000 2.4603
```



# 13
This entry pairs a crystal structure of Nd5Er4Sc4 with its computed powder diffraction line list. Radiation: CuKα. Structure: a structure optimized by DFT (GGA-PBE).

Most intense lines, 5° ≤ 2θ ≤ 70°, sorted by position:
two_theta	d [Å]	I (rel.)
9.91	8.924	2.3
14.03	6.310	9.3
19.28	4.603	2.1
22.28	3.991	6.2
23.93	3.719	7.1
27.85	3.204	5.1
31.31	2.857	100.0
36.31	2.474	50.9
43.04	2.101	2.5
52.30	1.749	35.5
62.23	1.492	41.5
65.33	1.428	11.8

Cell and atoms:
```
13
Lattice="-6.3103 6.3103 2.4716 6.3103 -6.3103 2.4716 6.3103 6.3103 -2.4716" Properties=species:S:1:pos:R:3 pbc="T T T"
Nd 0.0000 0.0000 0.0000
Nd 5.7649 3.8460 0.0000
Nd 2.4643 -0.5454 2.4716
Nd 3.8460 6.8557 0.0000
Nd 0.5454 2.4643 2.4716
Er 7.7744 0.9800 0.0000
Er 0.9800 4.8462 0.0000
Er 5.3303 1.4641 2.4716
Er -1.4641 5.3303 2.4716
Sc 2.9549 1.9682 0.0000
Sc 4.3421 -3.3554 2.4716
Sc 1.9682 9.6657 0.0000
Sc 3.3554 4.3421 2.4716
```